Starting from DFT lattice parameters and positions (PBE), the powder XRD pattern of PrNiSn2Ir was simulated for a wavelength of 1.5418 Å.

Crystal structure
a b c (Å): 4.5489 4.5489 10.3478
angles (deg): 90.00 90.00 90.00
Space group P4/nmm (No. 129, origin choice 2)
Symmetry-distinct sites (fractional):
1 Pr 0.2500 0.2500 0.2424
2 Ni 0.2500 0.7500 0.0000
3 Sn 0.2500 0.2500 0.8882
4 Sn 0.2500 0.7500 0.5000
5 Ir 0.2500 0.2500 0.6360

Principal peaks in the range 2θ = 10–90°, by angle:
| 2θ (°) | I (rel.) |
| --- | --- |
| 27.7 | 44 |
| 32.6 | 100 |
| 32.8 | 91 |
| 39.6 | 100 |
| 45.0 | 41 |
| 48.3 | 34 |
| 52.2 | 54 |
| 57.3 | 34 |
| 64.2 | 30 |
| 67.6 | 22 |
| 75.6 | 18 |
| 86.6 | 18 |

***

Starting from DFT lattice parameters and positions (PBE), the powder XRD pattern of SmGdHo2Tl2 was simulated for a wavelength of 1.5418 Å.

Crystal structure
a b c (Å): 5.4324 5.4324 6.7258
angles (deg): 90.00 90.00 120.00
Space group P-6m2 (No. 187)
Symmetry-distinct sites (fractional):
1 Sm 0.0000 0.0000 0.0000
2 Gd 0.6667 0.3333 0.5000
3 Ho 0.3333 0.6667 0.2524
4 Tl 0.0000 0.0000 0.5000
5 Tl 0.6667 0.3333 0.0000

Principal peaks in the range 2θ = 10–90°, by angle:
| 2θ (°) | I (rel.) |
| --- | --- |
| 26.5 | 8 |
| 32.7 | 88 |
| 33.0 | 100 |
| 42.8 | 13 |
| 47.2 | 32 |
| 54.6 | 8 |
| 58.7 | 34 |
| 58.9 | 19 |
| 65.3 | 28 |
| 69.2 | 12 |
| 78.7 | 15 |
| 84.5 | 14 |